The following is a computed powder diffraction line list of Pr3SiAgS7. It was derived from a crystal structure in Alexandria, relaxed with PBE, using copper Kα.

Most intense lines, 2θ = 5–70°, by angle:
2θ 9.82, intensity 70
2θ 22.96, intensity 49
2θ 25.03, intensity 100
2θ 26.17, intensity 68
2θ 32.42, intensity 39
2θ 34.49, intensity 53
2θ 35.95, intensity 78
2θ 39.26, intensity 54
2θ 40.87, intensity 79
2θ 48.06, intensity 44

Crystal structure
Cell: 10.402 10.402 5.803 Å, 90.00 90.00 120.00°
Element x y z (fractional)
1 Pr 0.122 0.359 0.000
2 Pr 0.237 0.878 0.000
3 Pr 0.359 0.237 0.500
4 Pr 0.641 0.763 0.000
5 Pr 0.763 0.122 0.500
6 Pr 0.878 0.641 0.500
7 Si 0.333 0.667 0.412
8 Si 0.667 0.333 0.912
9 Ag 0.000 0.000 0.039
10 Ag 0.000 0.000 0.539
11 S 0.089 0.268 0.513
12 S 0.117 0.592 0.267
13 S 0.178 0.911 0.513
14 S 0.268 0.178 0.013
15 S 0.333 0.667 0.777
16 S 0.408 0.525 0.267
17 S 0.475 0.883 0.267
18 S 0.525 0.117 0.767
19 S 0.592 0.475 0.767
20 S 0.667 0.333 0.277
21 S 0.732 0.822 0.513
22 S 0.822 0.089 0.013
23 S 0.883 0.408 0.767
24 S 0.911 0.732 0.013

***

The following is a computed powder diffraction line list of K2Cd7Au. It was derived from a crystal structure in Alexandria, relaxed with PBE, using copper Kα.

Most intense lines, 2θ = 5–70°, by angle:
2θ 13.45, intensity 32
2θ 20.25, intensity 31
2θ 27.95, intensity 18
2θ 30.38, intensity 71
2θ 38.71, intensity 100
2θ 39.32, intensity 19
2θ 41.15, intensity 16
2θ 55.91, intensity 19
2θ 57.77, intensity 14
2θ 64.98, intensity 15

Crystal structure
Cell: 4.650 4.650 13.169 Å, 90.00 90.00 90.00°
Element x y z (fractional)
1 K 0.000 0.500 0.242
2 K 0.500 0.000 0.758
3 Cd 0.000 0.000 0.000
4 Cd 0.000 0.000 0.500
5 Cd 0.000 0.500 0.645
6 Cd 0.000 0.500 0.865
7 Cd 0.500 0.000 0.135
8 Cd 0.500 0.000 0.355
9 Cd 0.500 0.500 0.500
10 Au 0.500 0.500 0.000

***

The following is a computed powder diffraction line list of Tm2Ga3Ag. It was derived from a crystal structure in Alexandria, relaxed with PBE, using copper Kα.

Most intense lines, 2θ = 5–70°, by angle:
2θ 23.06, intensity 15
2θ 34.32, intensity 100
2θ 40.46, intensity 37
2θ 40.59, intensity 19
2θ 51.46, intensity 9
2θ 54.02, intensity 9
2θ 54.16, intensity 18
2θ 67.46, intensity 24
2θ 69.66, intensity 17
2θ 69.85, intensity 8

Crystal structure
Cell: 8.917 8.507 5.689 Å, 74.90 67.08 38.03°
Element x y z (fractional)
1 Tm 0.245 0.755 0.755
2 Tm 0.250 0.250 0.250
3 Tm 0.750 0.750 0.750
4 Tm 0.755 0.245 0.245
5 Ga 0.170 0.665 0.335
6 Ga 0.335 0.830 0.170
7 Ga 0.336 0.336 0.664
8 Ga 0.664 0.664 0.336
9 Ga 0.665 0.170 0.830
10 Ga 0.830 0.335 0.665
11 Ag 0.168 0.168 0.832
12 Ag 0.832 0.832 0.168

***

The following is a computed powder diffraction line list of Na2Sr7Al6F34. It was derived from a crystal structure in Alexandria, relaxed with PBE, using copper Kα.

Most intense lines, 2θ = 5–70°, by angle:
2θ 24.11, intensity 39
2θ 25.55, intensity 42
2θ 27.65, intensity 100
2θ 28.40, intensity 67
2θ 29.64, intensity 86
2θ 29.89, intensity 42
2θ 40.42, intensity 44
2θ 41.35, intensity 46
2θ 44.65, intensity 46
2θ 45.50, intensity 49

Crystal structure
Cell: 9.821 9.821 7.356 Å, 99.59 99.59 68.03°
Element x y z (fractional)
1 Na 0.000 0.000 0.000
2 Na 0.000 0.000 0.500
3 Sr 0.051 0.658 0.697
4 Sr 0.241 0.241 0.883
5 Sr 0.342 0.949 0.303
6 Sr 0.500 0.500 0.000
7 Sr 0.658 0.051 0.697
8 Sr 0.759 0.759 0.117
9 Sr 0.949 0.342 0.303
10 Al 0.148 0.634 0.202
11 Al 0.333 0.333 0.459
12 Al 0.366 0.852 0.798
13 Al 0.634 0.148 0.202
14 Al 0.667 0.667 0.541
15 Al 0.852 0.366 0.798
16 F 0.014 0.753 0.036
17 F 0.018 0.538 0.186
18 F 0.054 0.755 0.392
19 F 0.077 0.077 0.281
20 F 0.152 0.387 0.543
21 F 0.238 0.502 0.008
22 F 0.245 0.946 0.608
23 F 0.247 0.986 0.964
24 F 0.255 0.255 0.238
25 F 0.276 0.723 0.794
26 F 0.277 0.512 0.372
27 F 0.277 0.724 0.206
28 F 0.387 0.152 0.543
29 F 0.399 0.399 0.686
30 F 0.462 0.982 0.814
31 F 0.488 0.723 0.628
32 F 0.498 0.762 0.992
33 F 0.502 0.238 0.008
34 F 0.512 0.277 0.372
35 F 0.538 0.018 0.186
36 F 0.601 0.601 0.314
37 F 0.613 0.848 0.457
38 F 0.723 0.276 0.794
39 F 0.723 0.488 0.628
40 F 0.724 0.277 0.206
41 F 0.745 0.745 0.762
42 F 0.753 0.014 0.036
43 F 0.755 0.054 0.392
44 F 0.762 0.498 0.992
45 F 0.848 0.613 0.457
46 F 0.923 0.923 0.719
47 F 0.946 0.245 0.608
48 F 0.982 0.462 0.814
49 F 0.986 0.247 0.964

***

The following is a computed powder diffraction line list of PmNd5N5. It was derived from a crystal structure in Alexandria, relaxed with PBE, using copper Kα.

Most intense lines, 2θ = 5–70°, by angle:
2θ 12.79, intensity 1
2θ 29.98, intensity 100
2θ 34.67, intensity 24
2θ 34.79, intensity 46
2θ 45.00, intensity 1
2θ 49.94, intensity 40
2θ 50.08, intensity 8
2θ 59.26, intensity 15
2θ 59.43, intensity 29
2θ 62.30, intensity 16

Crystal structure
Cell: 6.315 6.315 7.299 Å, 106.78 106.78 48.37°
Element x y z (fractional)
1 Pm 0.000 0.000 0.000
2 Nd 0.000 0.000 0.500
3 Nd 0.326 0.326 0.672
4 Nd 0.329 0.329 0.154
5 Nd 0.671 0.671 0.846
6 Nd 0.674 0.674 0.328
7 N 0.165 0.165 0.335
8 N 0.170 0.170 0.834
9 N 0.500 0.500 0.000
10 N 0.830 0.830 0.166
11 N 0.835 0.835 0.665

***

The following is a computed powder diffraction line list of Na8B13C3. It was derived from a crystal structure in Alexandria, relaxed with PBE, using copper Kα.

Most intense lines, 2θ = 5–70°, by angle:
2θ 33.74, intensity 14
2θ 36.18, intensity 17
2θ 39.79, intensity 51
2θ 41.65, intensity 38
2θ 41.93, intensity 100
2θ 54.63, intensity 7
2θ 56.33, intensity 10
2θ 61.95, intensity 18
2θ 65.98, intensity 2
2θ 66.60, intensity 8

Crystal structure
Cell: 2.809 8.675 10.625 Å, 90.00 90.00 90.00°
Element x y z (fractional)
1 Na 0.000 0.247 0.000
2 Na 0.000 0.251 0.499
3 Na 0.000 0.749 0.499
4 Na 0.000 0.753 0.000
5 Na 0.500 0.251 0.247
6 Na 0.500 0.252 0.749
7 Na 0.500 0.748 0.749
8 Na 0.500 0.749 0.247
9 B 0.000 0.000 0.316
10 B 0.000 0.000 0.816
11 B 0.000 0.500 0.155
12 B 0.000 0.500 0.318
13 B 0.000 0.500 0.674
14 B 0.000 0.500 0.834
15 B 0.500 0.000 0.089
16 B 0.500 0.000 0.423
17 B 0.500 0.000 0.590
18 B 0.500 0.000 0.924
19 B 0.500 0.500 0.417
20 B 0.500 0.500 0.578
21 B 0.500 0.500 0.934
22 C 0.000 0.000 0.168
23 C 0.000 0.000 0.668
24 C 0.500 0.500 0.081

***

The following is a computed powder diffraction line list of Tb5PuBi6. It was derived from a crystal structure in Alexandria, relaxed with PBE, using copper Kα.

Most intense lines, 2θ = 5–70°, by angle:
2θ 24.20, intensity 2
2θ 28.02, intensity 100
2θ 40.04, intensity 78
2θ 47.34, intensity 1
2θ 49.58, intensity 29
2θ 57.92, intensity 14
2θ 65.55, intensity 38

Crystal structure
Cell: 7.799 7.799 7.800 Å, 99.59 99.59 119.97°
Element x y z (fractional)
1 Tb 0.000 0.000 0.000
2 Tb 0.167 0.833 0.500
3 Tb 0.334 0.666 0.000
4 Tb 0.666 0.334 0.000
5 Tb 0.833 0.167 0.500
6 Pu 0.500 0.500 0.500
7 Bi 0.082 0.416 0.249
8 Bi 0.249 0.249 0.750
9 Bi 0.416 0.082 0.249
10 Bi 0.584 0.918 0.751
11 Bi 0.751 0.751 0.250
12 Bi 0.918 0.584 0.751

***

The following is a computed powder diffraction line list of Ga2GeBr2Cl6. It was derived from a crystal structure in Alexandria, relaxed with PBE, using copper Kα.

Most intense lines, 2θ = 5–70°, by angle:
2θ 7.66, intensity 28
2θ 17.63, intensity 100
2θ 22.14, intensity 16
2θ 27.65, intensity 22
2θ 28.73, intensity 16
2θ 32.98, intensity 20
2θ 35.00, intensity 17
2θ 43.56, intensity 18
2θ 48.49, intensity 23
2θ 48.89, intensity 20

Crystal structure
Cell: 6.453 6.453 11.541 Å, 90.00 90.00 120.00°
Element x y z (fractional)
1 Ga 0.333 0.667 0.288
2 Ga 0.667 0.333 0.712
3 Ge 0.000 0.000 0.500
4 Br 0.333 0.667 0.091
5 Br 0.667 0.333 0.909
6 Cl 0.010 0.666 0.362
7 Cl 0.334 0.344 0.362
8 Cl 0.344 0.010 0.638
9 Cl 0.656 0.990 0.362
10 Cl 0.666 0.656 0.638
11 Cl 0.990 0.334 0.638

***

The following is a computed powder diffraction line list of CeUPaN3. It was derived from a crystal structure in Alexandria, relaxed with PBE, using copper Kα.

Most intense lines, 2θ = 5–70°, by angle:
2θ 15.99, intensity 17
2θ 29.36, intensity 50
2θ 30.97, intensity 34
2θ 32.88, intensity 100
2θ 33.23, intensity 18
2θ 34.48, intensity 85
2θ 37.63, intensity 18
2θ 40.53, intensity 22
2θ 53.21, intensity 50
2θ 68.93, intensity 16

Crystal structure
Cell: 6.124 3.444 8.905 Å, 90.00 103.38 90.00°
Element x y z (fractional)
1 Ce 0.144 0.250 0.188
2 Ce 0.856 0.750 0.812
3 U 0.375 0.250 0.863
4 U 0.625 0.750 0.137
5 Pa 0.266 0.750 0.551
6 Pa 0.734 0.250 0.449
7 N 0.049 0.250 0.658
8 N 0.231 0.750 0.995
9 N 0.449 0.750 0.350
10 N 0.551 0.250 0.650
11 N 0.769 0.250 0.005
12 N 0.951 0.750 0.342

***

The following is a computed powder diffraction line list of Sm5SbTe4. It was derived from a crystal structure in Alexandria, relaxed with PBE, using copper Kα.

Most intense lines, 2θ = 5–70°, by angle:
2θ 24.50, intensity 2
2θ 28.36, intensity 100
2θ 40.54, intensity 76
2θ 47.94, intensity 1
2θ 50.22, intensity 27
2θ 58.68, intensity 13
2θ 66.43, intensity 35

Crystal structure
Cell: 16.051 16.051 16.051 Å, 164.07 164.07 22.61°
Element x y z (fractional)
1 Sm 0.000 0.000 0.000
2 Sm 0.202 0.202 0.000
3 Sm 0.402 0.402 0.000
4 Sm 0.598 0.598 0.000
5 Sm 0.798 0.798 0.000
6 Sb 0.500 0.500 0.000
7 Te 0.101 0.101 0.000
8 Te 0.301 0.301 0.000
9 Te 0.699 0.699 0.000
10 Te 0.899 0.899 0.000

***

The following is a computed powder diffraction line list of Mg3SO9. It was derived from a crystal structure in Alexandria, relaxed with PBE, using copper Kα.

Most intense lines, 2θ = 5–70°, by angle:
2θ 13.95, intensity 42
2θ 14.59, intensity 100
2θ 17.92, intensity 47
2θ 18.02, intensity 26
2θ 19.35, intensity 54
2θ 23.14, intensity 26
2θ 24.02, intensity 37
2θ 28.13, intensity 26
2θ 31.36, intensity 23
2θ 35.45, intensity 16

Crystal structure
Cell: 5.863 6.286 6.707 Å, 99.68 104.29 98.64°
Element x y z (fractional)
1 Mg 0.000 0.000 0.000
2 Mg 0.130 0.609 0.186
3 Mg 0.481 0.688 0.974
4 S 0.508 0.914 0.606
5 O 0.128 0.300 0.909
6 O 0.224 0.816 0.025
7 O 0.335 0.704 0.486
8 O 0.363 0.403 0.053
9 O 0.663 0.841 0.798
10 O 0.688 0.991 0.482
11 O 0.821 0.786 0.186
12 O 0.841 0.797 0.397
13 O 0.950 0.306 0.043